# 1
Diffraction record for LiNbO3. The X-ray diffraction stick pattern is theoretical, not measured: it uses a structure optimized by DFT (PBE) and Cu Kα, 1.54184 Å.
Intensities are scaled so that the largest is 100.

Top 6 peaks for 10 to 80 degrees two-theta, by angle:
d (Å)	intensity
6.304	55
4.448	100
3.800	19
3.146	58
2.642	29
1.988	32

Structural model:
```
LiNbO3
1.0
6.3080 0.0000 0.0000
0.0000 8.3477 0.0000
-0.0678 0.0000 9.5742
Li Nb O
8 8 24
Cartesian
0.0867 1.5261 4.5690
0.0529 2.6477 9.3561
1.7137 1.0203 6.9895
1.7475 3.1536 2.2024
4.4926 5.1941 7.3718
4.5265 7.3274 2.5847
6.1873 5.7000 0.2181
6.1535 6.8215 5.0052
1.4613 0.0295 2.3101
1.4274 4.1443 7.0972
3.0711 5.8080 4.7626
3.0372 6.7135 9.5498
3.2030 1.6342 0.0245
3.1691 2.5397 4.8116
4.8128 4.2034 2.4770
4.7789 8.3181 7.2641
0.0402 0.2089 6.3507
0.0741 3.9649 1.5635
1.2826 1.4018 0.9537
1.2487 2.7720 5.7408
1.3634 5.6574 5.7383
1.3973 6.8641 0.9512
2.0486 1.5796 3.5149
2.0147 2.5942 8.3020
2.5616 5.3199 8.3748
2.5955 7.2015 3.5877
2.7394 4.2602 3.5285
2.7055 8.2613 8.3156
3.5347 0.0863 1.2586
3.5008 4.0875 6.0457
3.6447 1.1461 5.9866
3.6786 3.0277 1.1994
4.2255 5.7534 1.2722
4.1916 6.7681 6.0594
4.8429 1.4836 8.6230
4.8768 2.6902 3.8359
4.9915 5.5757 3.8334
4.9576 6.9458 8.6205
6.1661 4.3828 8.0107
6.2000 8.1387 3.2236
```

=====

# 2
Diffraction record for K2TlCuCl6. The X-ray diffraction stick pattern is theoretical, not measured: it uses a structure optimized by DFT (PBE) and Cu Kα, 1.54184 Å.
Intensities are scaled so that the largest is 100.

Top 6 peaks for 10 to 80 degrees two-theta, by angle:
d (Å)	intensity
5.151	100
3.642	100
2.575	81
2.304	50
2.103	44
1.821	53

Structural model:
```
K2TlCuCl6
1.0
0.0000 5.1510 5.1510
5.1510 0.0000 5.1510
5.1510 5.1510 0.0000
K Tl Cu Cl
2 1 1 6
Cartesian
2.5755 2.5755 2.5755
7.7265 7.7265 7.7265
0.0000 0.0000 0.0000
5.1510 5.1510 5.1510
5.1510 5.1510 2.7045
5.1510 2.7045 5.1510
7.5975 5.1510 5.1510
2.7045 5.1510 5.1510
5.1510 7.5975 5.1510
5.1510 5.1510 7.5975
```

=====

# 3
Diffraction record for Li3CeSb2. The X-ray diffraction stick pattern is theoretical, not measured: it uses a structure optimized by DFT (PBE) and Cu Kα, 1.54184 Å.
Intensities are scaled so that the largest is 100.

Top 6 peaks for 10 to 80 degrees two-theta, by angle:
d (Å)	intensity
7.368	21
3.505	100
2.705	59
2.301	41
2.091	23
1.924	18

Structural model:
```
Li3CeSb2
1.0
4.6017 0.0000 0.0000
-2.3009 3.9852 0.0000
0.0000 0.0000 7.3677
Li Ce Sb
3 1 2
Cartesian
0.0000 0.0000 0.0000
0.0000 2.6568 1.0617
2.3009 1.3284 6.3060
0.0000 0.0000 3.6838
0.0000 2.6568 5.5641
2.3009 1.3284 1.8036
```

=====

# 4
Diffraction record for Tb3SmNi4. The X-ray diffraction stick pattern is theoretical, not measured: it uses a structure optimized by DFT (PBE) and Cu Kα, 1.54184 Å.
Intensities are scaled so that the largest is 100.

Top 6 peaks for 10 to 80 degrees two-theta, by angle:
d (Å)	intensity
3.275	38
2.716	100
2.519	39
2.170	50
2.136	28
1.628	31

Structural model:
```
Tb3SmNi4
1.0
3.7495 0.0000 0.0000
0.0000 4.2713 0.0000
0.0000 0.0000 10.2052
Tb Sm Ni
3 1 4
Cartesian
0.0000 0.0000 0.0000
0.0000 2.1356 2.7982
1.8748 2.1356 7.9333
1.8748 0.0000 5.0989
0.0000 0.0000 7.2800
0.0000 2.1356 5.7715
1.8748 0.0000 2.1513
1.8748 2.1356 0.6621
```

=====

# 5
Diffraction record for Ti3P. The X-ray diffraction stick pattern is theoretical, not measured: it uses a structure optimized by DFT (PBE) and Cu Kα, 1.54184 Å.
Intensities are scaled so that the largest is 100.

Top 6 peaks for 10 to 80 degrees two-theta, by angle:
d (Å)	intensity
2.415	95
2.347	100
2.226	75
2.173	84
2.033	43
1.953	57

Structural model:
```
Ti3P
1.0
9.9567 0.0000 0.0000
0.0000 9.9567 0.0000
0.0000 0.0000 4.9790
Ti P
24 8
Cartesian
0.3352 9.2692 1.1950
0.6875 5.3135 3.6845
1.1022 2.7713 0.1539
1.4246 8.2956 3.5602
1.6611 6.4029 1.0707
2.2070 1.1022 2.3357
2.7713 3.8761 2.3357
3.3172 8.5321 1.0707
3.5538 6.6395 3.5602
3.8761 2.2070 0.1539
4.2909 9.6215 3.6845
4.6432 5.6658 1.1950
5.3135 4.2909 3.7840
5.6658 0.3352 1.2945
6.0806 7.7497 4.8252
6.4029 3.3172 1.4188
6.6395 1.4246 3.9084
7.1854 6.0806 2.6434
7.7497 8.8545 2.6434
8.2956 3.5538 3.9084
8.5321 1.6611 1.4188
8.8545 7.1854 4.8252
9.2692 4.6432 1.2945
9.6215 0.6875 3.7840
0.4300 2.9014 2.6691
2.0770 0.4300 4.7995
2.9014 4.5483 4.7995
4.5483 2.0770 2.6691
5.4084 7.8797 2.3099
7.0553 5.4084 0.1796
7.8797 9.5267 0.1796
9.5267 7.0553 2.3099
```

=====

# 6
Diffraction record for Sr2TbSnO6. The X-ray diffraction stick pattern is theoretical, not measured: it uses a structure optimized by DFT (PBE) and Cu Kα, 1.54184 Å.
Intensities are scaled so that the largest is 100.

Top 6 peaks for 10 to 80 degrees two-theta, by angle:
d (Å)	intensity
4.265	13
3.016	100
2.132	32
1.741	42
1.508	20
1.349	19

Structural model:
```
Sr2TbSnO6
1.0
0.0000 4.2650 4.2650
4.2650 0.0000 4.2650
4.2650 4.2650 0.0000
Sr Tb Sn O
2 1 1 6
Cartesian
2.1325 2.1325 2.1325
6.3975 6.3975 6.3975
0.0000 0.0000 0.0000
4.2650 4.2650 4.2650
4.2650 4.2650 2.2115
4.2650 2.2115 4.2650
6.3185 4.2650 4.2650
2.2115 4.2650 4.2650
4.2650 6.3185 4.2650
4.2650 4.2650 6.3185
```

=====

# 7
Diffraction record for V5Si6W5. The X-ray diffraction stick pattern is theoretical, not measured: it uses a structure optimized by DFT (PBE) and Cu Kα, 1.54184 Å.
Intensities are scaled so that the largest is 100.

Top 6 peaks for 10 to 80 degrees two-theta, by angle:
d (Å)	intensity
6.713	75
4.757	82
2.325	100
2.197	77
2.092	69
1.994	85

Structural model:
```
V5Si6W5
1.0
6.7076 -2.4797 0.0000
6.7076 2.4797 0.0000
-6.6734 0.0000 6.7158
V Si W
5 6 5
Cartesian
0.0000 0.0000 0.0000
3.9977 0.0000 2.0441
1.0235 0.0000 5.7377
4.0383 0.0000 6.7095
9.7334 0.0000 3.0024
-1.3940 0.0000 2.0678
-1.3031 0.0000 6.6514
8.7379 1.2293 1.0032
3.1057 0.0000 4.3845
7.6569 0.0000 4.3966
8.7379 -1.2293 1.0032
-3.6663 0.0000 5.7283
1.0114 0.0000 3.0164
5.3752 1.2397 4.3785
6.7129 0.0000 2.0192
5.3752 -1.2397 4.3785
```

=====

# 8
Diffraction record for TlIn3Se4. The X-ray diffraction stick pattern is theoretical, not measured: it uses a structure optimized by DFT (PBE) and Cu Kα, 1.54184 Å.
Intensities are scaled so that the largest is 100.

Top 6 peaks for 10 to 80 degrees two-theta, by angle:
d (Å)	intensity
4.129	41
3.261	41
2.919	51
2.658	100
2.235	25
1.775	26

Structural model:
```
TlIn3Se4
1.0
8.2575 0.0000 0.0000
0.0000 8.2575 0.0000
0.0000 0.0000 6.9491
Tl In Se
2 6 8
Cartesian
0.0000 0.0000 0.0000
4.1287 4.1287 3.4746
0.0000 0.0000 3.4746
0.0000 4.1287 0.0000
0.0000 4.1287 3.4746
4.1287 0.0000 0.0000
4.1287 0.0000 3.4746
4.1287 4.1287 0.0000
1.4142 2.7145 5.2119
1.4142 5.5430 1.7373
2.7145 1.4142 1.7373
2.7145 6.8433 5.2119
5.5430 1.4142 5.2119
5.5430 6.8433 1.7373
6.8433 2.7145 1.7373
6.8433 5.5430 5.2119
```

=====

# 9
Diffraction record for Bi4O5. The X-ray diffraction stick pattern is theoretical, not measured: it uses a structure optimized by DFT (PBE) and Cu Kα, 1.54184 Å.
Intensities are scaled so that the largest is 100.

Top 6 peaks for 10 to 80 degrees two-theta, by angle:
d (Å)	intensity
3.364	100
3.051	75
2.811	31
2.756	24
2.738	20
2.133	22

Structural model:
```
Bi4O5
1.0
5.5737 -5.4758 0.0000
5.5737 5.4758 0.0000
-0.8393 0.0000 5.6227
Bi O
8 10
Cartesian
5.1540 4.4062 2.8114
2.6286 1.1224 2.4909
4.8345 1.8735 5.3790
2.2089 -1.1224 5.3023
7.5996 1.4860 2.2728
5.2542 -1.8735 2.5676
7.1800 -1.4860 5.0842
5.5737 -4.4062 0.0000
3.9332 4.5566 4.7286
0.9002 0.2422 4.1158
1.3199 -0.2422 1.3044
3.9582 0.6738 0.8197
6.5241 2.8646 3.9435
3.5386 -0.6738 3.6311
7.1817 0.2979 0.3267
6.7621 -0.2979 3.1380
4.3529 -4.5566 1.9172
6.9437 -2.8646 1.1321
```

=====

Repeat the first record exactly.
Diffraction record for LiNbO3. The X-ray diffraction stick pattern is theoretical, not measured: it uses a structure optimized by DFT (PBE) and Cu Kα, 1.54184 Å.
Intensities are scaled so that the largest is 100.

Top 6 peaks for 10 to 80 degrees two-theta, by angle:
d (Å)	intensity
6.304	55
4.448	100
3.800	19
3.146	58
2.642	29
1.988	32

Structural model:
```
LiNbO3
1.0
6.3080 0.0000 0.0000
0.0000 8.3477 0.0000
-0.0678 0.0000 9.5742
Li Nb O
8 8 24
Cartesian
0.0867 1.5261 4.5690
0.0529 2.6477 9.3561
1.7137 1.0203 6.9895
1.7475 3.1536 2.2024
4.4926 5.1941 7.3718
4.5265 7.3274 2.5847
6.1873 5.7000 0.2181
6.1535 6.8215 5.0052
1.4613 0.0295 2.3101
1.4274 4.1443 7.0972
3.0711 5.8080 4.7626
3.0372 6.7135 9.5498
3.2030 1.6342 0.0245
3.1691 2.5397 4.8116
4.8128 4.2034 2.4770
4.7789 8.3181 7.2641
0.0402 0.2089 6.3507
0.0741 3.9649 1.5635
1.2826 1.4018 0.9537
1.2487 2.7720 5.7408
1.3634 5.6574 5.7383
1.3973 6.8641 0.9512
2.0486 1.5796 3.5149
2.0147 2.5942 8.3020
2.5616 5.3199 8.3748
2.5955 7.2015 3.5877
2.7394 4.2602 3.5285
2.7055 8.2613 8.3156
3.5347 0.0863 1.2586
3.5008 4.0875 6.0457
3.6447 1.1461 5.9866
3.6786 3.0277 1.1994
4.2255 5.7534 1.2722
4.1916 6.7681 6.0594
4.8429 1.4836 8.6230
4.8768 2.6902 3.8359
4.9915 5.5757 3.8334
4.9576 6.9458 8.6205
6.1661 4.3828 8.0107
6.2000 8.1387 3.2236
```